No. 1
The following is a theoretical X-ray powder pattern of Tl16ZnCd12. It was derived from DFT lattice parameters and positions (PBE), using Cu Kα (weighted mean of Kα1 and Kα2).
Kinematic intensities with the Lorentz-polarization factor, no thermal factor.

Structural model:
```
29
Lattice="5.842 -8.236 0.000 5.842 8.236 0.000 -5.814 0.000 8.280" Properties=species:S:1:pos:R:3 pbc="T T T"
Tl 0.000 0.000 0.000
Tl -1.237 3.202 5.100
Tl -3.059 0.000 5.381
Tl -1.200 4.951 8.113
Tl 0.806 2.108 2.584
Tl 2.133 5.665 7.501
Tl 4.107 2.945 2.496
Tl 0.806 -2.108 2.584
Tl 2.062 2.626 5.836
Tl -1.237 -3.202 5.100
Tl 4.107 -2.945 2.496
Tl -1.200 -4.951 8.113
Tl 6.223 0.000 2.540
Tl 2.062 -2.626 5.836
Tl 2.529 0.000 7.893
Tl 2.133 -5.665 7.501
Zn 0.077 0.000 5.092
Cd 3.587 6.756 2.464
Cd 1.452 5.164 4.025
Cd -0.550 1.506 7.703
Cd 3.114 0.000 1.067
Cd 2.878 0.000 4.103
Cd 7.261 3.093 0.997
Cd -0.550 -1.506 7.703
Cd 5.204 1.538 5.445
Cd 1.452 -5.164 4.025
Cd 3.587 -6.756 2.464
Cd 5.204 -1.538 5.445
Cd 7.261 -3.093 0.997
```

Most intense lines, 2θ = 15–90°, sorted by position:
2θ 32.49, I 100; 2θ 32.57, I 83; 2θ 35.98, I 11; 2θ 36.12, I 19; 2θ 37.65, I 9; 2θ 37.78, I 9; 2θ 57.96, I 18; 2θ 58.07, I 24

---

No. 2
The following is a theoretical X-ray powder pattern of SmEr6In. It was derived from DFT lattice parameters and positions (PBE), using Cu Kα (weighted mean of Kα1 and Kα2).
Kinematic intensities with the Lorentz-polarization factor, no thermal factor.

Structural model:
```
8
Lattice="4.880 0.000 0.000 0.000 4.880 0.000 0.000 0.000 9.933" Properties=species:S:1:pos:R:3 pbc="T T T"
Sm 0.000 0.000 0.000
Er 0.000 2.440 2.552
Er 0.000 2.440 7.380
Er 2.440 0.000 2.552
Er 2.440 0.000 7.380
Er 2.440 2.440 0.000
Er 2.440 2.440 4.966
In 0.000 0.000 4.966
```

Most intense lines, 2θ = 15–90°, sorted by position:
2θ 31.57, I 100; 2θ 36.17, I 17; 2θ 36.84, I 33; 2θ 52.59, I 24; 2θ 53.08, I 12; 2θ 62.20, I 14; 2θ 63.09, I 28; 2θ 65.93, I 12

---

No. 3
The following is a theoretical X-ray powder pattern of KGe5P4. It was derived from DFT lattice parameters and positions (PBE), using Cu Kα (weighted mean of Kα1 and Kα2).
Kinematic intensities with the Lorentz-polarization factor, no thermal factor.

Structural model:
```
20
Lattice="7.203 0.000 0.000 0.000 10.501 0.000 0.000 0.000 5.843" Properties=species:S:1:pos:R:3 pbc="T T T"
K 1.801 2.625 0.415
K 5.402 7.876 5.428
Ge 0.314 5.720 1.709
Ge 0.314 10.032 1.709
Ge 1.801 7.876 3.908
Ge 3.287 5.720 1.709
Ge 3.287 10.032 1.709
Ge 3.916 0.470 4.135
Ge 3.916 4.781 4.135
Ge 5.402 2.625 1.936
Ge 6.888 0.470 4.135
Ge 6.888 4.781 4.135
P 0.195 2.625 3.219
P 1.801 5.813 5.266
P 1.801 9.939 5.266
P 3.407 2.625 3.219
P 3.796 7.876 2.624
P 5.402 0.562 0.577
P 5.402 4.688 0.577
P 7.008 7.876 2.624
```

Most intense lines, 2θ = 15–90°, sorted by position:
2θ 29.75, I 99; 2θ 30.09, I 79; 2θ 30.37, I 100; 2θ 34.16, I 73; 2θ 35.15, I 58; 2θ 40.63, I 65; 2θ 43.45, I 76; 2θ 52.84, I 88